Starting from a cell relaxed with PBE, the powder XRD pattern of U3H2O10 was simulated for Cu Kα.
Intensities are scaled so that the largest is 100.

Most intense lines, 10 to 80 degrees two-theta, low angle first:
d [Å], I/Imax
6.996, 31
4.863, 46
4.261, 100
3.423, 39
3.308, 46
3.284, 46
3.120, 25
2.175, 21
2.130, 26
1.881, 22

Cell and atoms:
a = 5.5630 Å, b = 5.8990 Å, c = 7.5288 Å
α = 73.77°, β = 71.88°, γ = 73.50°
Space group P-1 (No. 2)
Unique sites:
U1 0.0000 0.0000 0.0000 x1
U2 0.4486 0.5598 0.2494 x2
H1 0.1134 0.6872 0.5942 x2
O1 0.1002 0.9218 0.2306 x2
O2 0.2074 0.3725 0.3446 x2
O3 0.3026 0.6875 0.9588 x2
O4 0.3037 0.6727 0.5486 x2
O5 0.3080 0.2390 0.8550 x2

---

Starting from a cell relaxed with PBE, the powder XRD pattern of NpCdPt2 was simulated for Cu Kα.
Intensities are scaled so that the largest is 100.

Most intense lines, 10 to 80 degrees two-theta, low angle first:
d [Å], I/Imax
3.900, 6
2.388, 100
2.037, 3
1.689, 18
1.550, 2
1.379, 36
1.300, 1

Cell and atoms:
a = 6.7554 Å, b = 6.7554 Å, c = 6.7554 Å
α = 90.00°, β = 90.00°, γ = 90.00°
Space group Fm-3m (No. 225)
Unique sites:
Np1 0.0000 0.0000 0.0000 x4
Cd1 0.0000 0.0000 0.5000 x4
Pt1 0.2500 0.2500 0.2500 x8

---

Starting from a cell relaxed with PBE, the powder XRD pattern of NdMgRh was simulated for Cu Kα.
Intensities are scaled so that the largest is 100.

Most intense lines, 10 to 80 degrees two-theta, low angle first:
d [Å], I/Imax
3.350, 34
2.787, 59
2.695, 30
2.617, 100
2.385, 18
2.266, 26
2.116, 26
2.094, 27
1.866, 18
1.488, 17

Cell and atoms:
a = 7.2636 Å, b = 4.1886 Å, c = 8.7052 Å
α = 90.00°, β = 90.00°, γ = 90.00°
Space group Pnma (No. 62)
Unique sites:
Nd1 0.0384 0.2500 0.1792 x4
Mg1 0.1348 0.2500 0.5578 x4
Rh1 0.2478 0.7500 0.3741 x4